Structure and simulated powder X-ray diffraction pattern of CsCaH2CF (DFT lattice parameters and positions (GGA-PBE); Cu Kα X-rays).

Main lines, in order of rising 2θ (2θ = 10–90°):
- 2θ = 12.14°, I 86
- 2θ = 23.99°, I 47
- 2θ = 24.18°, I 44
- 2θ = 24.43°, I 68
- 2θ = 27.46°, I 100
- 2θ = 28.90°, I 49
- 2θ = 29.51°, I 64
- 2θ = 35.03°, I 89
- 2θ = 39.03°, I 45
- 2θ = 43.64°, I 43

Atomic structure:
```
data_CsCaH2CF
_symmetry_space_group_name_H-M 'C 1 m 1'
_symmetry_Int_Tables_number 8
_cell_length_a 7.641
_cell_length_b 3.613
_cell_length_c 7.505
_cell_angle_alpha 90.00
_cell_angle_beta 103.81
_cell_angle_gamma 90.00
loop_
_symmetry_equiv_pos_as_xyz
'x,y,z'
'x,-y,z'
'x+1/2,y+1/2,z'
'x+1/2,-y+1/2,z'
loop_
_atom_site_label
_atom_site_fract_x
_atom_site_fract_y
_atom_site_fract_z
Cs1 0.000 0.000 0.000
Ca1 0.361 0.500 0.478
H1 0.168 0.242 0.697
C1 0.216 0.000 0.630
F1 0.363 0.000 0.255
```

Structure and simulated powder X-ray diffraction pattern of Rb4Sn (DFT lattice parameters and positions (GGA-PBE); Cu Kα X-rays).

Main lines, in order of rising 2θ (2θ = 10–90°):
- 2θ = 12.10°, I 32
- 2θ = 17.15°, I 30
- 2θ = 21.04°, I 45
- 2θ = 24.34°, I 100
- 2θ = 27.27°, I 20
- 2θ = 34.69°, I 80
- 2θ = 40.93°, I 23
- 2θ = 42.83°, I 29
- 2θ = 56.25°, I 39
- 2θ = 62.18°, I 29

Atomic structure:
```
data_Rb4Sn
_symmetry_space_group_name_H-M 'P m -3 m'
_symmetry_Int_Tables_number 221
_symmetry_space_group_name_Hall '-P 4 2 3'
_cell_length_a 7.314
_cell_length_b 7.314
_cell_length_c 7.314
_cell_angle_alpha 90.00
_cell_angle_beta 90.00
_cell_angle_gamma 90.00
loop_
_atom_site_label
_atom_site_fract_x
_atom_site_fract_y
_atom_site_fract_z
Rb1 0.000 0.000 0.000
Rb2 0.000 0.500 0.500
Sn1 0.500 0.500 0.500
```

Structure and simulated powder X-ray diffraction pattern of Sr2AsO6 (DFT lattice parameters and positions (GGA-PBE); Cu Kα X-rays).

Main lines, in order of rising 2θ (2θ = 10–90°):
- 2θ = 27.26°, I 100
- 2θ = 29.42°, I 79
- 2θ = 30.43°, I 15
- 2θ = 31.04°, I 14
- 2θ = 44.02°, I 42
- 2θ = 46.09°, I 20
- 2θ = 48.47°, I 28
- 2θ = 51.61°, I 25
- 2θ = 52.15°, I 15
- 2θ = 53.45°, I 15

Atomic structure:
```
data_Sr2AsO6
_symmetry_space_group_name_H-M 'C 1 2/m 1'
_symmetry_Int_Tables_number 12
_cell_length_a 10.865
_cell_length_b 5.876
_cell_length_c 3.993
_cell_angle_alpha 90.00
_cell_angle_beta 101.78
_cell_angle_gamma 90.00
loop_
_symmetry_equiv_pos_as_xyz
'x,y,z'
'-x,-y,-z'
'-x,y,-z'
'x,-y,z'
'x+1/2,y+1/2,z'
'-x+1/2,-y+1/2,-z'
'-x+1/2,y+1/2,-z'
'x+1/2,-y+1/2,z'
loop_
_atom_site_label
_atom_site_fract_x
_atom_site_fract_y
_atom_site_fract_z
Sr1 0.164 0.000 0.188
As1 0.000 0.500 0.500
O1 0.000 0.292 0.000
O2 0.123 0.285 0.648
```

Structure and simulated powder X-ray diffraction pattern of Ca12TlAg6 (DFT lattice parameters and positions (GGA-PBE); Cu Kα X-rays).

Main lines, in order of rising 2θ (2θ = 10–90°):
- 2θ = 16.80°, I 53
- 2θ = 31.73°, I 100
- 2θ = 33.98°, I 14
- 2θ = 36.11°, I 24
- 2θ = 43.74°, I 43
- 2θ = 51.99°, I 13
- 2θ = 53.53°, I 14
- 2θ = 56.52°, I 16
- 2θ = 62.21°, I 14
- 2θ = 77.87°, I 13

Atomic structure:
```
data_Ca12TlAg6
_symmetry_space_group_name_H-M 'I m -3'
_symmetry_Int_Tables_number 204
_symmetry_space_group_name_Hall '-I 2 2 3'
_cell_length_a 10.553
_cell_length_b 10.553
_cell_length_c 10.553
_cell_angle_alpha 90.00
_cell_angle_beta 90.00
_cell_angle_gamma 90.00
loop_
_atom_site_label
_atom_site_fract_x
_atom_site_fract_y
_atom_site_fract_z
Ca1 0.000 0.290 0.182
Tl1 0.000 0.000 0.000
Ag1 0.000 0.131 0.500
```

Structure and simulated powder X-ray diffraction pattern of La5CoAg2 (DFT lattice parameters and positions (GGA-PBE); Cu Kα X-rays).

Main lines, in order of rising 2θ (2θ = 10–90°):
- 2θ = 27.81°, I 12
- 2θ = 28.46°, I 18
- 2θ = 29.26°, I 19
- 2θ = 29.91°, I 100
- 2θ = 32.12°, I 38
- 2θ = 32.38°, I 30
- 2θ = 44.63°, I 18
- 2θ = 46.82°, I 11
- 2θ = 51.70°, I 14
- 2θ = 54.68°, I 13

Atomic structure:
```
data_La5CoAg2
_symmetry_space_group_name_H-M 'P b a m'
_symmetry_Int_Tables_number 55
_cell_length_a 9.438
_cell_length_b 12.581
_cell_length_c 4.060
_cell_angle_alpha 90.00
_cell_angle_beta 90.00
_cell_angle_gamma 90.00
loop_
_symmetry_equiv_pos_as_xyz
'x,y,z'
'-x,-y,-z'
'-x,-y,z'
'x,y,-z'
'x+1/2,-y+1/2,-z'
'-x+1/2,y+1/2,z'
'-x+1/2,y+1/2,-z'
'x+1/2,-y+1/2,z'
loop_
_atom_site_label
_atom_site_fract_x
_atom_site_fract_y
_atom_site_fract_z
La1 0.000 0.000 0.000
La2 0.137 0.299 0.000
La3 0.172 0.568 0.500
Co1 0.000 0.500 0.000
Ag1 0.085 0.823 0.500
```

Structure and simulated powder X-ray diffraction pattern of LiGa3Ag7 (DFT lattice parameters and positions (GGA-PBE); Cu Kα X-rays).

Main lines, in order of rising 2θ (2θ = 10–90°):
- 2θ = 19.31°, I 32
- 2θ = 36.81°, I 15
- 2θ = 37.84°, I 100
- 2θ = 38.31°, I 51
- 2θ = 39.19°, I 45
- 2θ = 42.19°, I 38
- 2θ = 45.65°, I 57
- 2θ = 63.29°, I 21
- 2θ = 64.51°, I 18
- 2θ = 80.87°, I 18

Atomic structure:
```
data_LiGa3Ag7
_symmetry_space_group_name_H-M 'C 1 2/m 1'
_symmetry_Int_Tables_number 12
_cell_length_a 9.249
_cell_length_b 8.574
_cell_length_c 5.155
_cell_angle_alpha 90.00
_cell_angle_beta 96.23
_cell_angle_gamma 90.00
loop_
_symmetry_equiv_pos_as_xyz
'x,y,z'
'-x,-y,-z'
'-x,y,-z'
'x,-y,z'
'x+1/2,y+1/2,z'
'-x+1/2,-y+1/2,-z'
'-x+1/2,y+1/2,-z'
'x+1/2,-y+1/2,z'
loop_
_atom_site_label
_atom_site_fract_x
_atom_site_fract_y
_atom_site_fract_z
Li1 0.000 0.000 0.000
Ga1 0.000 0.309 0.500
Ga2 0.000 0.500 0.000
Ag1 0.000 0.000 0.500
Ag2 0.229 0.500 0.733
Ag3 0.247 0.333 0.239
```

Structure and simulated powder X-ray diffraction pattern of BaSrCeZrO6 (DFT lattice parameters and positions (GGA-PBE); Cu Kα X-rays).

Main lines, in order of rising 2θ (2θ = 10–90°):
- 2θ = 17.70°, I 4
- 2θ = 20.46°, I 2
- 2θ = 29.10°, I 100
- 2θ = 34.27°, I 3
- 2θ = 41.62°, I 32
- 2θ = 51.59°, I 41
- 2θ = 60.32°, I 20
- 2θ = 68.35°, I 18
- 2θ = 75.96°, I 7
- 2θ = 83.32°, I 21

Atomic structure:
```
data_BaSrCeZrO6
_symmetry_space_group_name_H-M 'F -4 3 m'
_symmetry_Int_Tables_number 216
_symmetry_space_group_name_Hall 'F -4 2 3'
_cell_length_a 8.679
_cell_length_b 8.679
_cell_length_c 8.679
_cell_angle_alpha 90.00
_cell_angle_beta 90.00
_cell_angle_gamma 90.00
loop_
_atom_site_label
_atom_site_fract_x
_atom_site_fract_y
_atom_site_fract_z
Ba1 0.000 0.000 0.000
Sr1 0.000 0.000 0.500
Ce1 0.250 0.250 0.750
Zr1 0.250 0.250 0.250
O1 0.007 0.250 0.250
```